1.
Starting from a crystal structure in Alexandria, relaxed with GGA-PBE, the powder X-ray diffraction pattern of CaScAl was computed for Cu Kα (λ = 1.5418 Å).

Peak list (6 most intense, 2θ from 15° to 90°, by angle)
d_spacing	I/Imax
2.834	20.7
2.816	66.7
2.733	45.4
2.610	25.7
2.567	100.0
2.467	77.7

Crystal structure
a b c (Å): 3.2777 6.1517 8.2616
angles (deg): 72.10 89.96 74.62
Space group P-1 (No. 2)
One atom of each set of equivalent atoms:
1 Ca 0.1516 0.1933 0.1195 [2 per cell]
2 Sc 0.1326 0.2349 0.5227 [2 per cell]
3 Al 0.4551 0.5903 0.2435 [2 per cell]

=====

2.
Starting from a crystal structure in Alexandria, relaxed with GGA-PBE, the powder X-ray diffraction pattern of BeGaB was computed for Cu Kα (λ = 1.5418 Å).

Peak list (6 most intense, 2θ from 15° to 90°, by angle)
d_spacing	I/Imax
3.009	50.9
2.751	100.0
2.440	47.2
2.357	53.5
2.280	48.8
1.790	58.2

Crystal structure
a b c (Å): 3.6274 3.6382 6.0798
angles (deg): 95.73 92.27 98.54
Space group P1 (No. 1)
One atom of each set of equivalent atoms:
1 Be 0.0000 0.0000 0.0000 [1 per cell]
2 Be 0.3746 0.6342 0.0032 [1 per cell]
3 Ga 0.4546 0.0736 0.5967 [1 per cell]
4 Ga 0.9161 0.5593 0.4048 [1 per cell]
5 B 0.5208 0.1497 0.9582 [1 per cell]
6 B 0.8534 0.4840 0.0433 [1 per cell]

=====

What did the second record say?
Starting from a crystal structure in Alexandria, relaxed with GGA-PBE, the powder X-ray diffraction pattern of BeGaB was computed for Cu Kα (λ = 1.5418 Å).

Peak list (6 most intense, 2θ from 15° to 90°, by angle)
d_spacing	I/Imax
3.009	50.9
2.751	100.0
2.440	47.2
2.357	53.5
2.280	48.8
1.790	58.2

Crystal structure
a b c (Å): 3.6274 3.6382 6.0798
angles (deg): 95.73 92.27 98.54
Space group P1 (No. 1)
One atom of each set of equivalent atoms:
1 Be 0.0000 0.0000 0.0000 [1 per cell]
2 Be 0.3746 0.6342 0.0032 [1 per cell]
3 Ga 0.4546 0.0736 0.5967 [1 per cell]
4 Ga 0.9161 0.5593 0.4048 [1 per cell]
5 B 0.5208 0.1497 0.9582 [1 per cell]
6 B 0.8534 0.4840 0.0433 [1 per cell]

=====

Repeat the second record exactly.
Starting from a crystal structure in Alexandria, relaxed with GGA-PBE, the powder X-ray diffraction pattern of BeGaB was computed for Cu Kα (λ = 1.5418 Å).

Peak list (6 most intense, 2θ from 15° to 90°, by angle)
d_spacing	I/Imax
3.009	50.9
2.751	100.0
2.440	47.2
2.357	53.5
2.280	48.8
1.790	58.2

Crystal structure
a b c (Å): 3.6274 3.6382 6.0798
angles (deg): 95.73 92.27 98.54
Space group P1 (No. 1)
One atom of each set of equivalent atoms:
1 Be 0.0000 0.0000 0.0000 [1 per cell]
2 Be 0.3746 0.6342 0.0032 [1 per cell]
3 Ga 0.4546 0.0736 0.5967 [1 per cell]
4 Ga 0.9161 0.5593 0.4048 [1 per cell]
5 B 0.5208 0.1497 0.9582 [1 per cell]
6 B 0.8534 0.4840 0.0433 [1 per cell]